Diffraction record for Li2V3CoO8. The powder diffraction line list is computed, not measured: it uses a DFT-relaxed cell (PBE+U, the Materials Project) and Cu Ka.
Intensities are scaled so that the largest is 100.

Peak list (10 most intense, 2θ from 10° to 90°, low angle first)
18.6 deg, 4.780 Å, rel. 100
36.0 deg, 2.496 Å, rel. 47
37.6 deg, 2.390 Å, rel. 9
43.7 deg, 2.070 Å, rel. 57
47.9 deg, 1.899 Å, rel. 10
57.9 deg, 1.593 Å, rel. 20
63.6 deg, 1.464 Å, rel. 34
66.9 deg, 1.399 Å, rel. 13
80.3 deg, 1.195 Å, rel. 9
83.4 deg, 1.159 Å, rel. 7

Atomic structure:
```
Li2V3CoO8
1.0
2.927 1.690 4.780
-2.927 1.690 4.780
0.000 -3.380 4.780
Li V Co O
2 3 1 8
Cartesian
0.000 0.000 1.788 Li
0.000 0.000 12.554 Li
-1.464 -0.845 4.780 V
-1.464 0.845 9.561 V
0.000 1.690 4.780 V
0.000 0.000 7.171 Co
0.000 0.000 3.745 O
0.000 -1.519 5.943 O
-1.316 0.760 5.943 O
-1.316 -0.760 8.398 O
1.316 0.760 5.943 O
1.316 -0.760 8.398 O
0.000 1.519 8.398 O
0.000 0.000 10.596 O
```


Diffraction record for Li4V5Co3O16. The powder diffraction line list is computed, not measured: it uses a DFT-relaxed cell (PBE+U, the Materials Project) and Cu Ka.
Intensities are scaled so that the largest is 100.

Peak list (10 most intense, 2θ from 10° to 90°, low angle first)
18.6 deg, 4.780 Å, rel. 100
19.5 deg, 4.548 Å, rel. 32
19.6 deg, 4.519 Å, rel. 82
19.7 deg, 4.496 Å, rel. 61
33.3 deg, 2.693 Å, rel. 25
35.9 deg, 2.504 Å, rel. 27
36.3 deg, 2.474 Å, rel. 65
40.0 deg, 2.253 Å, rel. 25
45.3 deg, 2.001 Å, rel. 40
45.7 deg, 1.986 Å, rel. 33

Atomic structure:
```
Li4V5Co3O16
1.0
5.901 0.000 0.000
2.935 5.137 0.000
0.037 0.118 9.559
Li V Co O
4 5 3 16
Cartesian
0.000 0.000 0.000 Li
0.035 0.065 4.856 Li
2.977 1.787 5.718 Li
5.945 3.453 0.930 Li
1.554 0.979 2.639 V
2.966 1.800 9.506 V
5.916 3.680 4.861 V
4.462 1.041 2.654 V
5.931 1.932 7.335 V
2.947 3.410 2.747 Co
4.483 4.313 7.514 Co
7.377 4.322 7.517 Co
0.072 0.091 1.835 O
1.668 2.429 1.430 O
1.604 1.035 8.662 O
2.995 3.439 8.748 O
2.923 1.594 3.769 O
4.501 4.296 3.885 O
2.966 0.240 1.476 O
4.339 2.417 1.499 O
5.925 4.981 6.119 O
4.668 2.687 6.128 O
4.382 1.035 8.693 O
5.938 3.359 8.528 O
7.312 4.356 3.839 O
5.911 1.775 3.770 O
7.186 2.698 6.114 O
5.944 0.181 6.691 O
```


Diffraction record for Li11V12Co4O32. The powder diffraction line list is computed, not measured: it uses a DFT-relaxed cell (PBE+U, the Materials Project) and Cu Ka.
Intensities are scaled so that the largest is 100.

Peak list (10 most intense, 2θ from 10° to 90°, low angle first)
18.4 deg, 4.826 Å, rel. 100
35.4 deg, 2.533 Å, rel. 13
35.7 deg, 2.514 Å, rel. 27
37.2 deg, 2.414 Å, rel. 9
43.0 deg, 2.104 Å, rel. 23
43.5 deg, 2.083 Å, rel. 45
57.4 deg, 1.605 Å, rel. 6
62.7 deg, 1.482 Å, rel. 12
62.9 deg, 1.478 Å, rel. 12
63.1 deg, 1.473 Å, rel. 12

Atomic structure:
```
Li11V12Co4O32
1.0
5.890 -5.891 0.000
5.890 5.891 0.000
-0.029 0.000 8.417
Li V Co O
11 12 4 32
Cartesian
0.000 0.000 0.000 Li
4.448 4.365 2.056 Li
7.304 4.365 6.362 Li
5.876 2.855 4.209 Li
4.376 0.053 1.070 Li
2.963 -2.967 4.270 Li
7.376 0.053 7.347 Li
5.876 -2.875 4.209 Li
4.459 -4.423 2.059 Li
7.293 -4.423 6.358 Li
8.789 -2.967 4.147 Li
2.971 2.916 0.054 V
3.005 0.013 4.175 V
1.548 -1.458 2.033 V
4.471 1.390 6.408 V
8.781 2.916 8.363 V
7.281 1.390 2.009 V
4.401 -1.504 6.393 V
8.747 0.013 4.243 V
5.890 -2.926 0.000 V
7.351 -1.504 2.024 V
10.204 -1.458 6.384 V
5.876 -5.860 4.209 V
1.503 1.442 2.066 Co
5.890 2.908 0.000 Co
5.876 -0.020 4.209 Co
10.249 1.442 6.351 Co
8.758 -3.012 1.950 O
1.480 1.369 4.057 O
0.145 0.005 2.124 O
3.030 2.827 6.483 O
4.463 4.211 0.028 O
5.695 2.967 6.445 O
2.853 0.019 2.228 O
1.504 -1.339 4.175 O
4.274 1.423 4.371 O
4.431 1.602 8.339 O
3.011 0.010 6.204 O
6.057 2.967 1.972 O
7.289 4.211 8.389 O
5.735 0.084 6.262 O
7.321 1.602 0.078 O
4.308 -1.417 4.361 O
8.722 2.827 1.935 O
6.017 0.084 2.155 O
4.342 -1.594 8.383 O
2.994 -3.012 6.467 O
7.478 1.423 4.046 O
5.674 -3.038 6.345 O
4.417 -4.296 8.327 O
8.741 0.010 2.213 O
7.445 -1.417 4.056 O
8.899 0.019 6.190 O
10.272 1.369 4.360 O
7.410 -1.594 0.034 O
6.078 -3.038 2.072 O
10.248 -1.339 4.242 O
7.335 -4.296 0.090 O
11.607 0.005 6.293 O
```


Diffraction record for Li5V2Co5O12. The powder diffraction line list is computed, not measured: it uses a DFT-relaxed cell (PBE+U, the Materials Project) and Cu Ka.
Intensities are scaled so that the largest is 100.

Peak list (10 most intense, 2θ from 10° to 90°, low angle first)
18.3 deg, 4.836 Å, rel. 33
19.5 deg, 4.546 Å, rel. 19
20.9 deg, 4.248 Å, rel. 21
23.8 deg, 3.739 Å, rel. 26
36.9 deg, 2.437 Å, rel. 23
37.4 deg, 2.403 Å, rel. 17
42.6 deg, 2.124 Å, rel. 100
44.2 deg, 2.051 Å, rel. 43
62.8 deg, 1.479 Å, rel. 25
63.2 deg, 1.472 Å, rel. 25

Atomic structure:
```
Li5V2Co5O12
1.0
2.526 -4.546 0.000
2.526 4.546 0.000
-1.907 0.000 9.672
Li V Co O
5 2 5 12
Cartesian
0.000 0.000 0.000 Li
-0.184 -0.015 7.273 Li
0.791 -1.414 2.373 Li
3.330 -0.015 2.399 Li
2.355 -1.414 7.299 Li
2.526 1.480 0.000 V
1.573 -2.955 4.836 V
0.770 1.550 2.382 Co
1.573 3.130 4.836 Co
1.573 0.029 4.836 Co
2.375 1.550 7.290 Co
2.526 -1.466 0.000 Co
1.565 2.989 1.124 O
-0.115 0.157 3.656 O
0.613 1.573 5.948 O
1.581 2.989 8.548 O
1.719 0.146 1.141 O
2.532 1.573 3.725 O
0.748 -1.556 6.010 O
1.427 0.146 8.531 O
1.537 -2.931 1.108 O
2.398 -1.556 3.662 O
3.260 0.157 6.016 O
1.609 -2.931 8.564 O
```


Diffraction record for Li2V3CoO8. The powder diffraction line list is computed, not measured: it uses a DFT-relaxed cell (PBE+U, the Materials Project) and Cu Ka.
Intensities are scaled so that the largest is 100.

Peak list (10 most intense, 2θ from 10° to 90°, low angle first)
18.3 deg, 4.854 Å, rel. 100
21.2 deg, 4.198 Å, rel. 48
30.1 deg, 2.971 Å, rel. 46
35.4 deg, 2.533 Å, rel. 74
35.5 deg, 2.529 Å, rel. 78
43.1 deg, 2.099 Å, rel. 52
56.9 deg, 1.618 Å, rel. 28
57.0 deg, 1.615 Å, rel. 33
62.5 deg, 1.486 Å, rel. 24
62.6 deg, 1.483 Å, rel. 49

Atomic structure:
```
Li2V3CoO8
1.0
5.929 0.000 0.000
2.962 5.146 0.000
0.010 3.399 9.697
Li V Co O
4 6 2 16
Cartesian
0.000 0.000 0.000 Li
2.910 6.766 6.701 Li
5.878 6.844 4.850 Li
5.934 5.070 1.842 Li
1.548 5.942 9.676 V
2.904 3.397 2.394 V
4.390 4.297 4.898 V
4.452 2.605 0.047 V
5.935 5.092 7.248 V
7.303 4.255 4.830 V
2.950 3.444 7.834 Co
5.899 1.752 3.014 Co
1.361 4.393 8.489 O
1.568 2.694 3.651 O
2.900 5.005 3.690 O
2.893 6.699 8.690 O
2.856 3.514 5.897 O
2.982 1.807 1.175 O
4.377 4.045 1.149 O
4.467 5.744 5.992 O
4.302 2.766 3.650 O
4.543 4.466 8.490 O
5.952 6.704 8.537 O
5.959 4.990 3.835 O
5.865 3.505 6.022 O
7.190 5.801 6.130 O
5.996 1.812 1.036 O
7.586 4.107 1.287 O
```


Diffraction record for Li2V3CoO8. The powder diffraction line list is computed, not measured: it uses a DFT-relaxed cell (PBE+U, the Materials Project) and Cu Ka.
Intensities are scaled so that the largest is 100.

Peak list (10 most intense, 2θ from 10° to 90°, low angle first)
18.3 deg, 4.845 Å, rel. 100
18.7 deg, 4.745 Å, rel. 20
35.7 deg, 2.514 Å, rel. 9
35.8 deg, 2.506 Å, rel. 15
36.2 deg, 2.480 Å, rel. 10
42.7 deg, 2.116 Å, rel. 23
43.7 deg, 2.073 Å, rel. 44
62.1 deg, 1.494 Å, rel. 7
62.3 deg, 1.490 Å, rel. 7
62.9 deg, 1.477 Å, rel. 7

Atomic structure:
```
Li2V3CoO8
1.0
5.817 0.000 0.000
-2.819 5.173 0.000
-2.812 -1.626 9.668
Li V Co O
4 6 2 16
Cartesian
0.014 0.009 1.837 Li
-2.798 1.816 6.651 Li
2.984 1.731 3.017 Li
0.172 3.538 7.832 Li
-1.406 -0.813 4.834 V
-1.409 2.587 0.000 V
0.081 3.471 2.419 V
2.908 0.000 0.000 V
0.093 1.774 4.834 V
0.104 0.077 7.250 V
1.502 -0.813 4.834 Co
1.499 2.587 0.000 Co
-2.803 1.764 8.663 O
-1.240 4.180 1.216 O
0.067 1.904 1.151 O
0.081 0.074 3.816 O
-2.731 3.716 6.036 O
-1.169 0.918 6.029 O
-1.250 2.746 3.737 O
-1.236 -0.617 8.509 O
1.421 4.165 1.159 O
1.435 0.802 5.932 O
1.355 2.630 3.640 O
2.916 -0.168 3.633 O
0.105 3.473 5.853 O
0.119 1.644 8.518 O
1.426 -0.632 8.453 O
2.989 1.783 1.006 O
```